Computed PXRD pattern of Pm2Tc3Ge5 for λ = 1.5418 Å (Cu Kα), from DFT lattice parameters and positions (PBE).
No peak broadening, texture or thermal motion is included.

Cell and atoms:
Cell: 8.6522 8.6522 8.6522 Å, 109.44 83.89 140.69°
Atoms (fractional coordinates):
Pm (0.1357, 0.2377, 0.3735)
Pm (0.3643, 0.7377, 0.1020)
Pm (0.6357, 0.2623, 0.8980)
Pm (0.8643, 0.7623, 0.6265)
Tc (0.1496, 0.9152, 0.0648)
Tc (0.2500, 0.7500, 0.5000)
Tc (0.3504, 0.4152, 0.7656)
Tc (0.6496, 0.5848, 0.2344)
Tc (0.7500, 0.2500, 0.5000)
Tc (0.8504, 0.0848, 0.9352)
Ge (0.0435, 0.7500, 0.2935)
Ge (0.0909, 0.6822, 0.7731)
Ge (0.2500, 0.2500, 0.0000)
Ge (0.4091, 0.1822, 0.5913)
Ge (0.4565, 0.7500, 0.7065)
Ge (0.5435, 0.2500, 0.2935)
Ge (0.5909, 0.8178, 0.4087)
Ge (0.7500, 0.7500, 0.0000)
Ge (0.9091, 0.3178, 0.2269)
Ge (0.9565, 0.2500, 0.7065)

The 12 most intense peaks (10 to 90 degrees two-theta), low angle first:
27.7 deg, I = 195
33.1 deg, I = 790
34.0 deg, I = 1000
35.7 deg, I = 849
36.0 deg, I = 284
38.4 deg, I = 265
39.9 deg, I = 265
41.8 deg, I = 943
53.2 deg, I = 194
56.3 deg, I = 229
56.7 deg, I = 219
64.0 deg, I = 187